No. 1
This entry pairs a crystal structure of Ac2PmMg2 with its theoretical X-ray diffraction stick pattern. Radiation: a wavelength of 1.5418 Å. Structure: a crystal structure in Alexandria, relaxed with GGA-PBE.

The 10 most intense peaks (10° ≤ 2θ ≤ 90°), most intense first:
- 22.46°, intensity 100
- 33.17°, intensity 61
- 31.97°, intensity 55
- 29.96°, intensity 55
- 24.07°, intensity 47
- 37.78°, intensity 42
- 25.18°, intensity 27
- 57.05°, intensity 26
- 56.05°, intensity 26
- 34.00°, intensity 24

```
Ac2PmMg2
1.0
2.014 -11.091 0.000
2.014 11.091 0.000
0.000 0.000 3.956
Ac Pm Mg
2 1 2
Direct
0.176 0.824 0.000
0.824 0.176 0.000
0.000 0.000 0.000
0.421 0.579 0.500
0.579 0.421 0.500
```

No. 2
This entry pairs a crystal structure of Tm6GeTe5 with its theoretical X-ray diffraction stick pattern. Radiation: a wavelength of 1.5418 Å. Structure: a crystal structure in Alexandria, relaxed with GGA-PBE.

The 10 most intense peaks (10° ≤ 2θ ≤ 90°), most intense first:
- 29.49°, intensity 100
- 42.20°, intensity 72
- 69.37°, intensity 23
- 52.31°, intensity 18
- 77.17°, intensity 15
- 61.20°, intensity 11
- 52.35°, intensity 6
- 69.45°, intensity 5
- 77.04°, intensity 5
- 25.48°, intensity 4

```
Tm6GeTe5
1.0
3.713 -6.423 0.000
3.713 6.423 0.000
-2.464 0.000 6.990
Tm Ge Te
6 1 5
Direct
0.075 0.382 0.729
0.224 0.224 0.262
0.382 0.075 0.729
0.618 0.925 0.271
0.776 0.776 0.738
0.925 0.618 0.271
0.000 0.000 0.500
0.176 0.824 0.000
0.336 0.664 0.500
0.500 0.500 0.000
0.664 0.336 0.500
0.824 0.176 0.000
```